[1]
Starting from a DFT-relaxed cell (GGA+U, Alexandria), the X-ray powder pattern of ScTl2MoO6 was calculated for Cu Kα X-rays.

Top 10 peaks for 10 to 90 degrees two-theta, in order of falling intensity:
hkl	two_theta	Rel. int.
1 1 0	27.25	1000
1 1 1	31.69	844
0 0 1	15.87	814
0 1 1	22.35	486
1 1 2	42.57	388
0 1 2	35.86	263
3 0 1	51.03	229
1 2 1	45.34	198
3 0 0	48.16	197
2 1 2	53.95	176

a b c (Å): 6.546 6.546 5.583
angles (deg): 90.00 90.00 120.00
Fractional coordinates of all 10 atoms:
1 Sc 0.000 0.000 0.000
2 Tl 0.333 0.667 0.431
3 Tl 0.667 0.333 0.569
4 Mo 0.000 0.000 0.500
5 O 0.133 0.265 0.276
6 O 0.133 0.867 0.276
7 O 0.265 0.133 0.724
8 O 0.735 0.867 0.276
9 O 0.867 0.133 0.724
10 O 0.867 0.735 0.724

***

[2]
Starting from a DFT-relaxed cell (GGA+U, Alexandria), the X-ray powder pattern of SrMoSeO2 was calculated for Cu Kα X-rays.

Top 10 peaks for 10 to 90 degrees two-theta, in order of falling intensity:
hkl	two_theta	Rel. int.
1 1 0	31.15	1000
1 0 2	38.46	914
1 0 1	26.91	675
2 0 0	44.63	641
2 1 2	60.34	475
1 0 0	21.88	305
2 1 1	52.87	201
3 1 0	73.77	196
2 2 0	64.93	150
0 0 1	15.47	145

a b c (Å): 4.062 4.062 5.727
angles (deg): 90.00 90.00 90.00
Fractional coordinates of all 5 atoms:
1 Sr 0.000 0.000 0.000
2 Mo 0.500 0.500 0.347
3 Se 0.500 0.500 0.793
4 O 0.000 0.500 0.290
5 O 0.500 0.000 0.290

***

[3]
Starting from a DFT-relaxed cell (GGA+U, Alexandria), the X-ray powder pattern of SmMoO5 was calculated for Cu Kα X-rays.

Top 10 peaks for 10 to 90 degrees two-theta, in order of falling intensity:
hkl	two_theta	Rel. int.
0 2 0	13.80	1000
1 2 1	31.26	940
1 2 -1	22.22	802
1 3 0	27.84	711
1 1 0	19.61	683
1 1 1	28.74	514
1 3 -1	27.17	482
1 1 -2	26.74	476
2 1 -1	33.85	467
1 0 -2	25.81	450

a b c (Å): 5.429 12.830 7.072
angles (deg): 90.00 116.96 90.00
Fractional coordinates of all 28 atoms:
1 Sm 0.157 0.061 0.283
2 Sm 0.157 0.439 0.783
3 Sm 0.843 0.561 0.217
4 Sm 0.843 0.939 0.717
5 Mo 0.409 0.135 0.850
6 Mo 0.409 0.365 0.350
7 Mo 0.591 0.635 0.650
8 Mo 0.591 0.865 0.150
9 O 0.041 0.555 0.985
10 O 0.041 0.945 0.485
11 O 0.205 0.059 0.954
12 O 0.205 0.441 0.454
13 O 0.267 0.240 0.263
14 O 0.267 0.260 0.763
15 O 0.275 0.657 0.423
16 O 0.275 0.843 0.923
17 O 0.486 0.576 0.841
18 O 0.486 0.924 0.341
19 O 0.514 0.076 0.659
20 O 0.514 0.424 0.159
21 O 0.725 0.157 0.077
22 O 0.725 0.343 0.577
23 O 0.733 0.740 0.237
24 O 0.733 0.760 0.737
25 O 0.795 0.559 0.546
26 O 0.795 0.941 0.046
27 O 0.959 0.055 0.515
28 O 0.959 0.445 0.015

***

[4]
Starting from a DFT-relaxed cell (GGA+U, Alexandria), the X-ray powder pattern of Sm2YMoO8 was calculated for Cu Kα X-rays.

Top 10 peaks for 10 to 90 degrees two-theta, in order of falling intensity:
hkl	two_theta	Rel. int.
0 2 1	31.21	1000
1 0 -1	24.26	634
1 0 1	24.61	570
1 2 -2	47.26	433
1 2 2	47.66	382
2 0 0	34.83	279
3 2 0	60.20	240
1 4 -1	59.22	108
2 0 2	50.46	108
2 4 0	65.11	107

a b c (Å): 5.152 6.896 5.153
angles (deg): 90.00 90.82 90.00
Fractional coordinates of all 12 atoms:
1 Sm 0.000 0.250 0.000
2 Sm 0.000 0.750 0.000
3 Y 0.500 0.000 0.500
4 Mo 0.500 0.500 0.500
5 O 0.196 0.000 0.198
6 O 0.231 0.500 0.233
7 O 0.321 0.289 0.680
8 O 0.321 0.711 0.680
9 O 0.679 0.289 0.320
10 O 0.679 0.711 0.320
11 O 0.769 0.500 0.767
12 O 0.804 0.000 0.802

***

[5]
Starting from a DFT-relaxed cell (GGA+U, Alexandria), the X-ray powder pattern of SnMoO was calculated for Cu Kα X-rays.

Top 10 peaks for 10 to 90 degrees two-theta, in order of falling intensity:
hkl	two_theta	Rel. int.
1 1 0	33.15	1000
0 1 2	35.56	860
1 0 2	33.90	621
1 0 -2	29.86	525
1 1 -1	34.45	324
2 0 0	41.87	270
2 1 2	58.60	242
0 2 0	52.81	242
2 1 -3	59.69	217
1 0 -3	39.90	200

a b c (Å): 4.349 3.466 7.428
angles (deg): 90.00 97.16 90.00
Fractional coordinates of all 6 atoms:
1 Sn 0.230 0.250 0.394
2 Sn 0.770 0.750 0.606
3 Mo 0.321 0.250 0.829
4 Mo 0.679 0.750 0.171
5 O 0.269 0.750 0.978
6 O 0.731 0.250 0.022